Theoretical PXRD pattern of Ba2Ho3PbO8 for Cu Kα (weighted mean of Kα1 and Kα2), from a DFT-relaxed cell (PBE, Alexandria).
Peak positions follow from Bragg's law for the DFT cell and can differ from measured ones.

The 10 most intense peaks (2θ = 10–90°), low angle first:
(1 0 4), 23.9°, I = 49; (1 1 0), 25.5°, I = 29; (0 1 5), 27.8°, I = 86; (1 1 3), 29.2°, I = 100; (0 2 1), 29.9°, I = 72; (2 0 2), 31.0°, I = 54; (1 2 5), 46.4°, I = 46; (0 3 3), 47.3°, I = 28; (2 0 8), 48.8°, I = 48; (2 2 0), 52.4°, I = 52

Structure:
Lattice parameters (Å, degrees): 6.9819 6.9819 18.9615 90.00 90.00 120.00
Space group R3m (No. 160, hexagonal axes)
Inequivalent atoms, fractional coordinates:
Ba (0.0000, 0.0000, 0.0000)
Ba (0.0000, 0.0000, 0.3742)
Ho (0.1716, 0.3433, 0.8314)
Pb (0.0000, 0.0000, 0.6063)
O (0.0000, 0.0000, 0.2290)
O (0.0000, 0.0000, 0.7813)
O (0.0403, 0.5202, 0.7685)
O (0.1713, 0.3426, 0.5661)